Diffraction record for Li2Nd2F7. The PXRD pattern is theoretical, not measured: it uses a DFT-relaxed cell (GGA-PBE, Alexandria) and Cu Kα.
Lines closer than 0.1° are merged.

Top 10 peaks for 10 to 80 degrees two-theta, in order of rising 2θ:
17.3°, d = 5.121 Å, intensity 100, hkl 1 0 0; 22.9°, d = 3.881 Å, intensity 48, hkl 0 1 -1; 23.5°, d = 3.793 Å, intensity 62, hkl 0 1 1; 26.1°, d = 3.409 Å, intensity 62, hkl -1 1 1; 27.4°, d = 3.255 Å, intensity 43, hkl 1 1 -1; 30.3°, d = 2.953 Å, intensity 24, hkl 1 -1 1; 32.2°, d = 2.782 Å, intensity 30, hkl 1 1 1; 36.5°, d = 2.461 Å, intensity 28, hkl 1 -2 0; 40.2°, d = 2.244 Å, intensity 29, hkl 2 1 -1; 46.8°, d = 1.941 Å, intensity 23, hkl 0 2 -2

Structure:
Cell lengths 5.268, 5.391, 5.618 Å; angles 90.31, 102.80, 94.34 degrees
Space group P-1 (No. 2)
Symmetry-distinct sites (fractional):
Li 0.017 0.206 0.207 x2
Nd 0.446 0.249 0.739 x2
F 0.000 0.000 0.500 x1
F 0.257 0.461 0.385 x2
F 0.258 0.045 0.040 x2
F 0.260 0.582 0.900 x2